# 1
Structure and calculated PXRD pattern of MnCoO4 (a cell relaxed with PBE+U; Cu Kα).

Crystal structure
```
12
Lattice="2.899 0.000 0.000 0.000 9.915 0.000 -0.004 0.000 4.978" Properties=species:S:1:pos:R:3 pbc="T T T"
Mn 0.361 0.000 1.867
Mn 2.534 4.957 3.111
Co 1.087 4.958 0.622
Co 1.808 0.001 4.356
O 0.363 0.943 0.177
O 0.359 8.971 3.557
O 1.084 4.004 3.967
O 1.085 5.913 2.256
O 1.810 0.955 2.722
O 1.810 8.961 1.011
O 2.536 4.014 1.421
O 2.532 5.901 4.801
```

Most intense lines, 10 to 80 degrees two-theta, sorted by position:
d = 4.957 Å, 17.9°, intensity 100
d = 2.429 Å, 37.0°, intensity 14
d = 2.414 Å, 37.2°, intensity 12
d = 2.235 Å, 40.3°, intensity 16
d = 1.997 Å, 45.4°, intensity 14
d = 1.988 Å, 45.6°, intensity 12
d = 1.762 Å, 51.9°, intensity 10
d = 1.555 Å, 59.4°, intensity 7


# 2
Structure and calculated PXRD pattern of Li9Mn2Co5O16 (a cell relaxed with PBE+U; Cu Kα).

Crystal structure
```
32
Lattice="10.706 -1.454 0.000 10.706 1.454 0.000 -3.028 0.000 9.378" Properties=species:S:1:pos:R:3 pbc="T T T"
Li 0.000 0.000 0.000
Li 1.022 0.000 5.693
Li 4.544 0.000 2.312
Li 5.366 0.000 8.125
Li 9.282 0.000 4.505
Li 13.003 0.000 1.134
Li 13.386 0.000 3.996
Li 13.786 0.000 6.910
Li 17.534 0.000 3.384
Mn 9.634 0.000 7.514
Mn 17.941 0.000 6.324
Co 0.562 0.000 2.855
Co 1.264 0.000 8.695
Co 4.762 0.000 5.114
Co 8.878 0.000 1.676
Co 17.254 0.000 0.543
O -1.451 0.000 6.208
O -0.884 0.000 8.819
O 2.310 0.000 2.529
O 3.032 0.000 5.508
O 3.313 0.000 8.563
O 6.788 0.000 1.893
O 7.153 0.000 5.040
O 7.397 0.000 7.620
O 10.890 0.000 1.434
O 11.284 0.000 4.192
O 11.762 0.000 7.307
O 15.163 0.000 0.707
O 15.535 0.000 3.801
O 16.045 0.000 6.501
O 19.329 0.000 0.316
O 19.860 0.000 3.015
```

Most intense lines, 10 to 80 degrees two-theta, sorted by position:
d = 4.865 Å, 18.2°, intensity 100
d = 2.547 Å, 35.2°, intensity 14
d = 2.493 Å, 36.0°, intensity 26
d = 2.122 Å, 42.6°, intensity 27
d = 2.074 Å, 43.7°, intensity 55
d = 1.604 Å, 57.5°, intensity 9
d = 1.486 Å, 62.5°, intensity 15
d = 1.480 Å, 62.8°, intensity 21


# 3
Structure and calculated PXRD pattern of MgCo4O8 (a cell relaxed with PBE+U; Cu Kα).

Crystal structure
```
13
Lattice="2.953 0.000 0.000 1.405 6.758 0.000 1.393 0.606 6.821" Properties=species:S:1:pos:R:3 pbc="T T T"
Mg 0.000 0.000 0.000
Co 1.430 0.589 2.549
Co 2.858 2.862 4.477
Co 2.852 2.638 0.199
Co 4.301 4.817 2.212
O 1.394 1.835 3.864
O 1.349 3.647 0.793
O 2.888 1.866 6.140
O 2.859 5.937 1.189
O 2.827 4.006 3.078
O 2.906 1.378 1.619
O 4.317 6.391 3.315
O 4.325 3.831 5.246
```

Most intense lines, 10 to 80 degrees two-theta, sorted by position:
d = 6.821 Å, 13.0°, intensity 100
d = 6.731 Å, 13.2°, intensity 88
d = 5.018 Å, 17.7°, intensity 80
d = 4.592 Å, 19.3°, intensity 88
d = 2.939 Å, 30.4°, intensity 51
d = 2.918 Å, 30.6°, intensity 38
d = 2.509 Å, 35.8°, intensity 71
d = 2.403 Å, 37.4°, intensity 44


# 4
Structure and calculated PXRD pattern of Cs2Mo2O11 (a cell relaxed with PBE+U; Cu Kα).

Crystal structure
```
30
Lattice="7.927 0.000 0.000 1.344 8.816 0.000 3.382 3.377 7.730" Properties=species:S:1:pos:R:3 pbc="T T T"
Cs 2.862 4.137 2.111
Cs 5.893 10.986 6.537
Cs 6.760 1.206 1.193
Cs 9.792 8.055 5.619
Mo 4.533 8.778 2.426
Mo 5.726 6.187 5.698
Mo 6.927 6.006 2.032
Mo 8.120 3.415 5.304
O 2.615 8.262 2.491
O 4.403 5.952 6.792
O 4.234 9.957 3.987
O 3.413 7.271 1.752
O 4.675 7.111 4.240
O 3.180 1.082 1.112
O 5.024 5.739 3.830
O 5.675 9.738 3.744
O 6.479 7.943 6.211
O 7.190 6.822 6.849
O 6.492 4.433 5.767
O 6.161 7.760 1.963
O 5.463 5.371 0.881
O 6.174 4.249 1.519
O 6.978 2.455 3.986
O 7.629 6.454 3.900
O 9.473 11.110 6.618
O 7.978 5.082 3.490
O 9.240 4.922 5.978
O 8.419 2.235 3.743
O 8.251 6.241 0.939
O 10.038 3.930 5.239
```

Most intense lines, 10 to 80 degrees two-theta, sorted by position:
d = 4.423 Å, 20.1°, intensity 40
d = 4.041 Å, 22.0°, intensity 43
d = 3.867 Å, 23.0°, intensity 74
d = 3.679 Å, 24.2°, intensity 68
d = 3.605 Å, 24.7°, intensity 28
d = 3.553 Å, 25.1°, intensity 100
d = 3.529 Å, 25.2°, intensity 54
d = 2.401 Å, 37.5°, intensity 33


# 5
Structure and calculated PXRD pattern of MgMn2O4 (a cell relaxed with PBE+U; Cu Kα).

Crystal structure
```
42
Lattice="5.486 -2.933 0.000 5.486 2.933 0.000 -1.498 0.000 14.833" Properties=species:S:1:pos:R:3 pbc="T T T"
Mg 0.000 0.000 0.000
Mg -0.364 0.000 3.609
Mg 2.839 0.000 8.600
Mg 6.895 0.000 4.267
Mg 5.958 0.000 13.559
Mg 6.339 0.000 9.867
Mn -0.886 0.000 9.240
Mn 0.664 0.000 11.717
Mn 3.404 1.467 11.714
Mn 2.222 0.000 14.193
Mn 3.177 0.000 4.961
Mn 5.791 1.471 6.747
Mn 8.008 1.464 1.838
Mn 5.304 0.000 1.822
Mn 3.404 -1.467 11.714
Mn 8.500 0.000 6.783
Mn 5.791 -1.471 6.747
Mn 8.008 -1.464 1.838
O -0.465 0.000 5.656
O 1.471 1.319 12.926
O 3.873 1.607 7.979
O 0.951 0.000 7.900
O 1.889 0.000 0.687
O 4.463 1.320 0.600
O 5.344 1.615 10.495
O 3.323 0.000 2.907
O 2.689 0.000 10.603
O 6.116 1.353 2.945
O 1.471 -1.319 12.926
O 4.090 0.000 12.835
O 5.136 0.000 5.615
O 7.651 1.338 5.655
O 4.463 -1.320 0.600
O 6.484 0.000 7.871
O 7.296 0.000 0.715
O 3.873 -1.607 7.979
O 6.116 -1.353 2.945
O 8.679 0.000 2.984
O 8.212 0.000 10.580
O 5.344 -1.615 10.495
O 7.651 -1.338 5.655
O 9.611 0.000 12.819
```

Most intense lines, 10 to 80 degrees two-theta, sorted by position:
d = 4.952 Å, 17.9°, intensity 88
d = 2.731 Å, 32.8°, intensity 56
d = 2.524 Å, 35.6°, intensity 100
d = 2.312 Å, 39.0°, intensity 37
d = 2.074 Å, 43.6°, intensity 49
d = 1.602 Å, 57.5°, intensity 34
d = 1.546 Å, 59.8°, intensity 34
d = 1.541 Å, 60.0°, intensity 34


# 6
Structure and calculated PXRD pattern of FeN3F6 (a cell relaxed with PBE+U; Cu Kα).

Crystal structure
```
10
Lattice="5.943 0.000 0.000 -2.610 5.590 0.000 -2.931 -1.637 5.363" Properties=species:S:1:pos:R:3 pbc="T T T"
Fe 0.000 0.000 0.000
N 0.065 4.163 0.779
N 0.265 0.332 3.932
N 3.151 1.804 2.430
F -2.915 4.456 1.351
F -1.672 1.560 1.707
F 1.052 1.392 0.409
F -2.167 2.961 5.067
F 1.579 0.051 4.177
F 0.679 3.261 3.736
```

Most intense lines, 10 to 80 degrees two-theta, sorted by position:
d = 5.357 Å, 16.5°, intensity 100
d = 5.034 Å, 17.6°, intensity 32
d = 4.568 Å, 19.4°, intensity 30
d = 4.500 Å, 19.7°, intensity 37
d = 3.331 Å, 26.8°, intensity 31
d = 3.247 Å, 27.5°, intensity 30
d = 3.067 Å, 29.1°, intensity 31
d = 2.673 Å, 33.5°, intensity 32


# 7
Structure and calculated PXRD pattern of Rb2VAuF6 (a cell relaxed with PBE+U; Cu Kα).

Crystal structure
```
10
Lattice="0.000 4.454 4.454 4.454 0.000 4.454 4.454 4.454 0.000" Properties=species:S:1:pos:R:3 pbc="T T T"
Rb 2.227 2.227 2.227
Rb 6.681 6.681 6.681
V 0.000 0.000 0.000
Au 4.454 4.454 4.454
F 4.454 4.454 1.965
F 4.454 1.965 4.454
F 6.944 4.454 4.454
F 1.965 4.454 4.454
F 4.454 6.944 4.454
F 4.454 4.454 6.944
```

Most intense lines, 10 to 80 degrees two-theta, sorted by position:
d = 5.143 Å, 17.2°, intensity 20
d = 3.150 Å, 28.3°, intensity 100
d = 2.686 Å, 33.4°, intensity 21
d = 2.227 Å, 40.5°, intensity 35
d = 2.044 Å, 44.3°, intensity 13
d = 1.818 Å, 50.2°, intensity 40
d = 1.575 Å, 58.6°, intensity 22
d = 1.409 Å, 66.4°, intensity 20


# 8
Structure and calculated PXRD pattern of BaMnZnF7 (a cell relaxed with PBE+U; Cu Kα).

Crystal structure
```
40
Lattice="5.796 0.000 0.000 0.000 10.034 0.000 -0.606 0.000 9.595" Properties=species:S:1:pos:R:3 pbc="T T T"
Ba 0.733 1.870 9.595
Ba 1.036 3.147 4.797
Ba 4.154 6.887 4.798
Ba 4.457 8.164 0.001
Mn 1.662 6.117 1.814
Mn 1.359 8.933 6.611
Mn 3.831 1.100 2.984
Mn 3.528 3.916 7.782
Zn 0.650 6.018 7.751
Zn 0.953 9.033 2.953
Zn 4.237 1.001 6.642
Zn 4.540 4.016 1.844
F -0.026 7.188 2.451
F -0.329 7.862 7.248
F 0.302 5.432 5.934
F 0.605 9.618 1.136
F 0.396 0.502 6.052
F 0.699 4.515 1.254
F 1.392 6.906 0.105
F 1.089 8.145 4.903
F 1.938 0.597 3.634
F 1.635 4.420 8.431
F 2.013 5.433 3.488
F 1.710 9.618 8.286
F 2.299 7.247 7.218
F 2.602 7.804 2.420
F 2.588 2.230 7.175
F 2.891 2.787 2.378
F 3.480 0.416 1.310
F 3.177 4.601 6.108
F 3.555 5.614 1.164
F 3.252 9.437 5.962
F 4.101 1.889 4.693
F 3.798 3.128 9.491
F 4.491 5.519 8.341
F 4.794 9.532 3.544
F 4.585 0.415 8.459
F 4.888 4.601 3.661
F 5.520 2.171 2.347
F 5.217 2.845 7.145
```

Most intense lines, 10 to 80 degrees two-theta, sorted by position:
d = 3.576 Å, 24.9°, intensity 100
d = 3.564 Å, 25.0°, intensity 64
d = 3.471 Å, 25.7°, intensity 46
d = 3.375 Å, 26.4°, intensity 93
d = 2.894 Å, 30.9°, intensity 76
d = 2.273 Å, 39.7°, intensity 39
d = 2.225 Å, 40.5°, intensity 55
d = 2.164 Å, 41.7°, intensity 49


# 9
Structure and calculated PXRD pattern of RbNa3W2O17 (a cell relaxed with PBE+U; Cu Kα).

Crystal structure
```
46
Lattice="8.780 0.000 0.000 -4.390 7.604 0.000 0.000 0.000 10.921" Properties=species:S:1:pos:R:3 pbc="T T T"
Rb 0.000 0.000 2.730
Rb 0.000 0.000 8.191
Na -1.213 3.522 2.730
Na -0.734 6.893 2.730
Na 2.444 2.811 8.191
Na 1.946 4.793 2.730
Na 5.124 0.711 8.191
Na 5.603 4.082 8.191
W 0.000 5.069 5.985
W 0.000 5.069 10.397
W 4.390 2.535 0.524
W 4.390 2.535 4.936
O -2.678 5.298 2.730
O -0.556 1.855 0.456
O -0.556 1.855 5.004
O -0.717 3.511 6.602
O -0.717 3.511 9.780
O -2.506 7.158 0.456
O -2.506 7.158 5.004
O 1.328 1.409 5.917
O 1.328 1.409 10.465
O 1.141 2.636 2.730
O -0.991 6.469 6.602
O -0.991 6.469 9.780
O 0.000 5.069 1.289
O 0.000 5.069 4.172
O 2.853 0.330 8.191
O 2.682 2.377 1.141
O 2.682 2.377 4.319
O 1.708 5.227 6.602
O 1.708 5.227 9.780
O 1.537 7.274 2.730
O 4.390 2.535 6.750
O 4.390 2.535 9.633
O 5.381 1.135 1.141
O 5.381 1.135 4.319
O 3.249 4.968 8.191
O 3.062 6.195 0.456
O 3.062 6.195 5.004
O 6.896 0.446 5.917
O 6.896 0.446 10.465
O 5.107 4.092 1.141
O 5.107 4.092 4.319
O 4.946 5.749 5.917
O 4.946 5.749 10.465
O 7.068 2.306 8.191
```

Most intense lines, 10 to 80 degrees two-theta, sorted by position:
d = 4.435 Å, 20.0°, intensity 38
d = 4.390 Å, 20.2°, intensity 100
d = 3.421 Å, 26.0°, intensity 34
d = 3.284 Å, 27.2°, intensity 49
d = 3.120 Å, 28.6°, intensity 41
d = 2.543 Å, 35.3°, intensity 40
d = 2.535 Å, 35.4°, intensity 31
d = 1.660 Å, 55.3°, intensity 33